Computed powder X-ray diffraction pattern
Compound: Rb2VPbCl6
Radiation: a wavelength of 1.5418 Å
Structure: a PBE-relaxed structure

Peak list (10 most intense, 2θ from 10° to 80°, low angle first)
d (Å)  2θ (°)  Rel. int.  h k l
6.161  14.38  24.0  1 1 1
5.335  16.62  22.6  2 0 0
3.773  23.58  100.0  2 2 0
3.217  27.73  26.8  3 1 1
2.668  33.60  65.0  4 0 0
2.448  36.71  18.6  3 3 1
2.178  41.46  45.4  4 2 2
1.886  48.25  43.5  4 4 0
1.687  54.38  22.8  6 2 0
1.426  65.46  25.6  6 4 2

Structural model:
```
data_Rb2VPbCl6
_chemical_formula_sum 'Rb8 V4 Pb4 Cl24'
_cell_length_a 10.670
_cell_length_b 10.670
_cell_length_c 10.670
_cell_angle_alpha 90.00
_cell_angle_beta 90.00
_cell_angle_gamma 90.00
_space_group_name_H-M_alt 'F m -3 m'
_space_group_IT_number 225
_space_group_name_Hall '-F 4 2 3'
loop_
_atom_site_label
_atom_site_type_symbol
_atom_site_fract_x
_atom_site_fract_y
_atom_site_fract_z
Rb1 Rb 0.250 0.250 0.250
V1 V 0.000 0.000 0.000
Pb1 Pb 0.000 0.000 0.500
Cl1 Cl 0.000 0.000 0.233
```


Computed powder X-ray diffraction pattern
Compound: Rb2ZnPbCl6
Radiation: a wavelength of 1.5418 Å
Structure: a PBE-relaxed structure

Peak list (10 most intense, 2θ from 10° to 80°, low angle first)
d (Å)  2θ (°)  Rel. int.  h k l
5.309  16.70  41.3  1 0 1
3.788  23.49  89.0  1 0 -1
3.721  23.91  92.8  2 1 1
3.207  27.82  29.2  2 1 0
2.654  33.77  100.0  2 0 2
2.187  41.28  30.0  -2 1 1
2.174  41.54  48.0  3 0 1
1.894  48.04  28.5  2 0 -2
1.860  48.96  32.9  2 2 4
1.670  54.99  22.1  1 4 3

Structural model:
```
data_Rb2ZnPbCl6
_chemical_formula_sum 'Rb2 Zn1 Pb1 Cl6'
_cell_length_a 7.443
_cell_length_b 7.444
_cell_length_c 7.446
_cell_angle_alpha 61.17
_cell_angle_beta 61.16
_cell_angle_gamma 61.18
_space_group_name_H-M_alt 'P -1'
_space_group_IT_number 2
loop_
_space_group_symop_operation_xyz
'x,y,z'
'-x,-y,-z'
loop_
_atom_site_label
_atom_site_type_symbol
_atom_site_fract_x
_atom_site_fract_y
_atom_site_fract_z
Rb1 Rb 0.245 0.245 0.245
Zn1 Zn 0.000 0.000 0.000
Pb1 Pb 0.500 0.500 0.500
Cl1 Cl 0.174 0.290 0.773
Cl2 Cl 0.228 0.826 0.710
Cl3 Cl 0.289 0.773 0.174
```


Computed powder X-ray diffraction pattern
Compound: RePb4Cl
Radiation: a wavelength of 1.5418 Å
Structure: a PBE-relaxed structure

Peak list (10 most intense, 2θ from 10° to 80°, low angle first)
d (Å)  2θ (°)  Rel. int.  h k l
5.178  17.13  36.0  1 1 1
3.171  28.14  11.2  2 2 0
2.704  33.13  100.0  3 1 1
2.589  34.65  62.3  2 2 2
2.242  40.22  16.4  4 0 0
2.057  44.01  10.6  3 3 1
1.726  53.06  35.7  3 3 3
1.585  58.19  33.4  4 4 0
1.368  68.62  12.6  5 3 3
1.352  69.53  26.0  6 2 2

Structural model:
```
data_RePb4Cl
_chemical_formula_sum 'Re4 Pb16 Cl4'
_cell_length_a 8.968
_cell_length_b 8.968
_cell_length_c 8.968
_cell_angle_alpha 90.00
_cell_angle_beta 90.00
_cell_angle_gamma 90.00
_space_group_name_H-M_alt 'F -4 3 m'
_space_group_IT_number 216
_space_group_name_Hall 'F -4 2 3'
loop_
_atom_site_label
_atom_site_type_symbol
_atom_site_fract_x
_atom_site_fract_y
_atom_site_fract_z
Re1 Re 0.000 0.000 0.000
Pb1 Pb 0.126 0.126 0.374
Cl1 Cl 0.250 0.250 0.750
```


Computed powder X-ray diffraction pattern
Compound: Rh3PbCl
Radiation: a wavelength of 1.5418 Å
Structure: a PBE-relaxed structure

Peak list (10 most intense, 2θ from 10° to 80°, low angle first)
d (Å)  2θ (°)  Rel. int.  h k l
4.528  19.60  3.8  1 0 0
3.202  27.86  19.5  1 1 0
2.614  34.30  100.0  1 1 1
2.264  39.81  65.2  2 0 0
1.849  49.29  8.4  2 1 1
1.601  57.57  43.8  2 2 0
1.432  65.14  3.7  3 1 0
1.365  68.75  40.2  3 1 1
1.307  72.28  14.8  2 2 2
1.210  79.13  4.5  3 2 1

Structural model:
```
data_Rh3PbCl
_chemical_formula_sum 'Rh3 Pb1 Cl1'
_cell_length_a 4.528
_cell_length_b 4.528
_cell_length_c 4.528
_cell_angle_alpha 90.00
_cell_angle_beta 90.00
_cell_angle_gamma 90.00
_space_group_name_H-M_alt 'P m -3 m'
_space_group_IT_number 221
_space_group_name_Hall '-P 4 2 3'
loop_
_atom_site_label
_atom_site_type_symbol
_atom_site_fract_x
_atom_site_fract_y
_atom_site_fract_z
Rh1 Rh 0.000 0.000 0.500
Pb1 Pb 0.500 0.500 0.500
Cl1 Cl 0.000 0.000 0.000
```


Computed powder X-ray diffraction pattern
Compound: Pb5S4Cl
Radiation: a wavelength of 1.5418 Å
Structure: a PBE-relaxed structure

Peak list (10 most intense, 2θ from 10° to 80°, low angle first)
d (Å)  2θ (°)  Rel. int.  h k l
3.714  23.96  26.4  2 0 -3
3.480  25.59  23.4  4 0 -1
3.400  26.21  45.6  1 1 1
3.024  29.54  100.0  2 0 2
2.232  40.41  13.0  6 0 -4
2.189  41.24  25.8  1 1 -4
2.091  43.27  23.6  5 1 0
2.056  44.04  11.6  0 2 0
1.700  53.93  12.5  2 2 2
1.378  68.04  10.6  1 1 6

Structural model:
```
data_Pb5S4Cl
_chemical_formula_sum 'Pb10 S8 Cl2'
_cell_length_a 14.349
_cell_length_b 4.112
_cell_length_c 11.143
_cell_angle_alpha 90.00
_cell_angle_beta 122.21
_cell_angle_gamma 90.00
_space_group_name_H-M_alt 'C 1 2/m 1'
_space_group_IT_number 12
loop_
_space_group_symop_operation_xyz
'x,y,z'
'-x,-y,-z'
'-x,y,-z'
'x,-y,z'
'x+1/2,y+1/2,z'
'-x+1/2,-y+1/2,-z'
'-x+1/2,y+1/2,-z'
'x+1/2,-y+1/2,z'
loop_
_atom_site_label
_atom_site_type_symbol
_atom_site_fract_x
_atom_site_fract_y
_atom_site_fract_z
Pb1 Pb 0.000 0.000 0.000
Pb2 Pb 0.108 0.500 0.388
Pb3 Pb 0.206 0.000 0.815
S1 S 0.103 0.500 0.902
S2 S 0.199 0.000 0.302
Cl1 Cl 0.000 0.000 0.500
```


Computed powder X-ray diffraction pattern
Compound: TaPbS3Cl
Radiation: a wavelength of 1.5418 Å
Structure: a PBE-relaxed structure

Peak list (10 most intense, 2θ from 10° to 80°, low angle first)
d (Å)  2θ (°)  Rel. int.  h k l
5.404  16.40  100.0  1 1 0
5.337  16.61  17.9  0 2 1
4.049  21.95  39.2  0 4 1
3.588  24.81  20.0  0 6 0
3.072  29.06  25.4  0 0 2
2.996  29.82  37.4  1 5 -1
2.967  30.12  18.5  1 5 1
2.693  33.27  29.3  1 7 0
2.650  33.82  25.8  1 1 2
2.085  43.40  18.3  2 0 -2

Structural model:
```
data_TaPbS3Cl
_chemical_formula_sum 'Ta4 Pb4 S12 Cl4'
_cell_length_a 5.583
_cell_length_b 21.529
_cell_length_c 6.146
_cell_angle_alpha 90.00
_cell_angle_beta 91.07
_cell_angle_gamma 90.00
_space_group_name_H-M_alt 'C 1 2/c 1'
_space_group_IT_number 15
loop_
_space_group_symop_operation_xyz
'x,y,z'
'-x,-y,-z'
'-x,y,-z+1/2'
'x,-y,z+1/2'
'x+1/2,y+1/2,z'
'-x+1/2,-y+1/2,-z'
'-x+1/2,y+1/2,-z+1/2'
'x+1/2,-y+1/2,z+1/2'
loop_
_atom_site_label
_atom_site_type_symbol
_atom_site_fract_x
_atom_site_fract_y
_atom_site_fract_z
Ta1 Ta 0.000 0.032 0.250
Pb1 Pb 0.000 0.152 0.750
S1 S 0.000 0.138 0.250
S2 S 0.231 0.466 0.427
Cl1 Cl 0.000 0.310 0.250
```


Computed powder X-ray diffraction pattern
Compound: Sb2Pb3Cl
Radiation: a wavelength of 1.5418 Å
Structure: a PBE-relaxed structure

Peak list (10 most intense, 2θ from 10° to 80°, low angle first)
d (Å)  2θ (°)  Rel. int.  h k l
3.852  23.09  55.3  1 1 0
3.797  23.43  48.6  0 0 3
3.394  26.26  47.7  1 1 -2
3.361  26.52  25.4  2 0 1
3.022  29.56  26.6  1 1 2
2.891  30.93  100.0  1 1 -3
2.852  31.36  46.1  2 0 2
2.551  35.18  50.3  1 1 3
2.253  40.02  76.9  3 1 -1
2.235  40.35  38.4  0 2 0

Structural model:
```
data_Sb2Pb3Cl
_chemical_formula_sum 'Sb4 Pb6 Cl2'
_cell_length_a 7.827
_cell_length_b 4.470
_cell_length_c 11.761
_cell_angle_alpha 90.00
_cell_angle_beta 104.21
_cell_angle_gamma 90.00
_space_group_name_H-M_alt 'P 1 21/m 1'
_space_group_IT_number 11
loop_
_space_group_symop_operation_xyz
'x,y,z'
'-x,-y,-z'
'-x,y+1/2,-z'
'x,-y+1/2,z'
loop_
_atom_site_label
_atom_site_type_symbol
_atom_site_fract_x
_atom_site_fract_y
_atom_site_fract_z
Sb1 Sb 0.022 0.250 0.330
Sb2 Sb 0.247 0.250 0.997
Pb1 Pb 0.138 0.750 0.161
Pb2 Pb 0.224 0.750 0.496
Pb3 Pb 0.358 0.750 0.850
Cl1 Cl 0.476 0.250 0.663
```


Computed powder X-ray diffraction pattern
Compound: SbPb2Cl
Radiation: a wavelength of 1.5418 Å
Structure: a PBE-relaxed structure

Peak list (10 most intense, 2θ from 10° to 80°, low angle first)
d (Å)  2θ (°)  Rel. int.  h k l
7.929  11.16  10.8  0 0 1
3.969  22.40  24.6  0 1 0
3.705  24.02  10.6  1 0 0
2.807  31.89  54.8  0 1 2
2.708  33.07  100.0  1 1 0
2.237  40.31  11.8  1 1 2
1.987  45.66  10.3  0 2 0
1.601  57.58  40.5  1 2 2
1.546  59.82  18.3  2 1 2
1.354  69.40  11.8  2 2 0

Structural model:
```
data_SbPb2Cl
_chemical_formula_sum 'Sb1 Pb2 Cl1'
_cell_length_a 3.705
_cell_length_b 3.974
_cell_length_c 7.929
_cell_angle_alpha 90.00
_cell_angle_beta 90.00
_cell_angle_gamma 90.00
_space_group_name_H-M_alt 'P m m m'
_space_group_IT_number 47
loop_
_space_group_symop_operation_xyz
'x,y,z'
'-x,-y,-z'
'-x,-y,z'
'x,y,-z'
'x,-y,-z'
'-x,y,z'
'-x,y,-z'
'x,-y,z'
loop_
_atom_site_label
_atom_site_type_symbol
_atom_site_fract_x
_atom_site_fract_y
_atom_site_fract_z
Sb1 Sb 0.000 0.000 0.000
Pb1 Pb 0.500 0.500 0.241
Cl1 Cl 0.000 0.000 0.500
```


Computed powder X-ray diffraction pattern
Compound: SbPbCl5
Radiation: a wavelength of 1.5418 Å
Structure: a PBE-relaxed structure

Peak list (10 most intense, 2θ from 10° to 80°, low angle first)
d (Å)  2θ (°)  Rel. int.  h k l
6.083  14.56  12.3  1 1 0
5.126  17.30  17.9  0 0 2
4.790  18.52  100.0  1 2 0
4.279  20.76  13.3  1 1 -2
3.748  23.74  19.8  1 2 -2
3.374  26.42  15.6  0 3 2
2.890  30.94  20.7  1 3 2
2.514  35.72  11.4  1 4 2
2.395  37.55  17.9  2 4 0
1.880  48.42  10.3  1 4 4

Structural model:
```
data_SbPbCl5
_chemical_formula_sum 'Sb4 Pb4 Cl20'
_cell_length_a 6.936
_cell_length_b 13.462
_cell_length_c 10.428
_cell_angle_alpha 90.00
_cell_angle_beta 100.54
_cell_angle_gamma 90.00
_space_group_name_H-M_alt 'P 1 21/c 1'
_space_group_IT_number 14
loop_
_space_group_symop_operation_xyz
'x,y,z'
'-x,-y,-z'
'-x,y+1/2,-z+1/2'
'x,-y+1/2,z+1/2'
loop_
_atom_site_label
_atom_site_type_symbol
_atom_site_fract_x
_atom_site_fract_y
_atom_site_fract_z
Sb1 Sb 0.043 0.000 0.208
Pb1 Pb 0.431 0.244 0.647
Cl1 Cl 0.058 0.112 0.626
Cl2 Cl 0.150 0.102 0.978
Cl3 Cl 0.238 0.622 0.292
Cl4 Cl 0.311 0.154 0.345
Cl5 Cl 0.370 0.613 0.684
```


Computed powder X-ray diffraction pattern
Compound: YSbPbCl2
Radiation: a wavelength of 1.5418 Å
Structure: a PBE-relaxed structure

Peak list (10 most intense, 2θ from 10° to 80°, low angle first)
d (Å)  2θ (°)  Rel. int.  h k l
5.224  16.97  100.0  1 0 0
3.694  24.09  96.3  1 1 0
3.190  27.97  70.6  1 1 1
3.164  28.20  67.6  0 0 2
2.707  33.10  40.9  1 0 2
2.612  34.33  80.0  2 0 0
2.403  37.42  63.9  1 1 2
2.014  45.00  74.0  2 0 2
1.880  48.43  28.9  2 1 2
1.595  57.80  34.7  2 2 2

Structural model:
```
data_YSbPbCl2
_chemical_formula_sum 'Y1 Sb1 Pb1 Cl2'
_cell_length_a 5.224
_cell_length_b 5.224
_cell_length_c 6.329
_cell_angle_alpha 90.00
_cell_angle_beta 90.00
_cell_angle_gamma 90.00
_space_group_name_H-M_alt 'P 4/m m m'
_space_group_IT_number 123
_space_group_name_Hall '-P 4 2'
loop_
_atom_site_label
_atom_site_type_symbol
_atom_site_fract_x
_atom_site_fract_y
_atom_site_fract_z
Y1 Y 0.000 0.000 0.000
Sb1 Sb 0.500 0.500 0.500
Pb1 Pb 0.500 0.500 0.000
Cl1 Cl 0.000 0.500 0.500
```


Computed powder X-ray diffraction pattern
Compound: Sr2Pb2Se3Cl2
Radiation: a wavelength of 1.5418 Å
Structure: a PBE-relaxed structure

Peak list (10 most intense, 2θ from 10° to 80°, low angle first)
d (Å)  2θ (°)  Rel. int.  h k l
7.506  11.79  30.0  0 0 2
3.753  23.71  44.2  0 0 4
3.711  23.98  32.7  1 1 2
3.019  29.59  100.0  2 0 0
2.688  33.33  45.3  1 0 5
2.352  38.26  51.7  2 0 4
2.135  42.34  37.5  2 2 0
2.008  45.16  38.7  2 1 5
1.856  49.10  25.5  2 2 4
1.350  69.64  17.1  4 2 0

Structural model:
```
data_Sr2Pb2Se3Cl2
_chemical_formula_sum 'Sr4 Pb4 Se6 Cl4'
_cell_length_a 6.038
_cell_length_b 6.038
_cell_length_c 15.013
_cell_angle_alpha 90.00
_cell_angle_beta 90.00
_cell_angle_gamma 90.00
_space_group_name_H-M_alt 'I 4/m m m'
_space_group_IT_number 139
_space_group_name_Hall '-I 4 2'
loop_
_atom_site_label
_atom_site_type_symbol
_atom_site_fract_x
_atom_site_fract_y
_atom_site_fract_z
Sr1 Sr 0.000 0.500 0.000
Pb1 Pb 0.000 0.000 0.217
Se1 Se 0.000 0.000 0.000
Se2 Se 0.000 0.500 0.250
Cl1 Cl 0.000 0.000 0.404
```


Computed powder X-ray diffraction pattern
Compound: Si2PbCl8
Radiation: a wavelength of 1.5418 Å
Structure: a PBE-relaxed structure

Peak list (10 most intense, 2θ from 10° to 80°, low angle first)
d (Å)  2θ (°)  Rel. int.  h k l
8.491  10.42  26.8  0 0 1
6.640  13.34  100.0  1 1 0
4.905  18.09  68.7  1 1 1
4.592  19.33  43.2  2 0 1
3.824  23.26  68.1  3 1 -1
3.370  26.45  42.2  4 0 -1
3.252  27.43  67.5  2 2 -1
3.182  28.04  44.1  3 1 1
2.748  32.59  27.8  1 1 -3
2.221  40.63  28.0  3 3 -1

Structural model:
```
data_Si2PbCl8
_chemical_formula_sum 'Si4 Pb2 Cl16'
_cell_length_a 13.578
_cell_length_b 7.714
_cell_length_c 8.840
_cell_angle_alpha 90.00
_cell_angle_beta 106.14
_cell_angle_gamma 90.00
_space_group_name_H-M_alt 'C 1 2/m 1'
_space_group_IT_number 12
loop_
_space_group_symop_operation_xyz
'x,y,z'
'-x,-y,-z'
'-x,y,-z'
'x,-y,z'
'x+1/2,y+1/2,z'
'-x+1/2,-y+1/2,-z'
'-x+1/2,y+1/2,-z'
'x+1/2,-y+1/2,z'
loop_
_atom_site_label
_atom_site_type_symbol
_atom_site_fract_x
_atom_site_fract_y
_atom_site_fract_z
Si1 Si 0.203 0.000 0.189
Pb1 Pb 0.000 0.000 0.500
Cl1 Cl 0.142 0.500 0.725
Cl2 Cl 0.144 0.213 0.271
Cl3 Cl 0.160 0.000 0.949
```